Record 1
V4Cr5S10: calculated powder diffraction line list (CuKα), based on a cell relaxed with GGA-PBE.

Crystal structure
Lattice parameters (Å, degrees): 5.8567 6.6651 8.1742 106.26 110.80 90.02
Space group P-1 (No. 2)
Symmetry-distinct sites (fractional):
V1 0.1091 0.2229 0.2186 x2
V2 0.2926 0.5971 0.5956 x2
Cr1 0.0000 0.5000 0.0000 x1
Cr2 0.2112 0.9023 0.3988 x2
Cr3 0.4012 0.2871 0.8113 x2
S1 0.0870 0.2475 0.5124 x2
S2 0.1107 0.1440 0.9034 x2
S3 0.2841 0.6397 0.8966 x2
S4 0.3273 0.5615 0.2999 x2
S5 0.4885 0.0540 0.2990 x2

Top 10 peaks for 15 to 90 degrees two-theta, sorted by position:
2θ 30.39, intensity 46, (1 1 1)
2θ 30.53, intensity 24, (2 0 -1)
2θ 34.26, intensity 55, (1 0 2)
2θ 34.42, intensity 39, (2 1 -2)
2θ 44.09, intensity 66, (1 -3 0)
2θ 44.27, intensity 100, (1 -1 3)
2θ 44.34, intensity 31, (1 1 -4)
2θ 53.91, intensity 27, (0 2 3)
2θ 54.10, intensity 27, (3 1 0)
2θ 54.24, intensity 27, (-3 1 3)

Record 2
Sb2AsOs: calculated powder diffraction line list (CuKα), based on a cell relaxed with GGA-PBE.

Crystal structure
Lattice parameters (Å, degrees): 4.4893 5.1474 7.7132 90.00 90.00 90.00
Space group Amm2 (No. 38)
Symmetry-distinct sites (fractional):
Sb1 0.0000 0.0000 0.0000 x2
Sb2 0.5000 0.0000 0.3876 x2
As1 0.0000 0.0000 0.6331 x2
Os1 0.5000 0.0000 0.7868 x2

Top 10 peaks for 15 to 90 degrees two-theta, sorted by position:
2θ 20.75, intensity 46, (0 1 1)
2θ 28.81, intensity 26, (1 1 1)
2θ 30.56, intensity 100, (1 0 2)
2θ 34.86, intensity 62, (0 2 0)
2θ 39.17, intensity 20, (0 1 3)
2θ 40.17, intensity 42, (2 0 0)
2θ 44.25, intensity 71, (1 1 3)
2θ 47.03, intensity 61, (1 2 2)
2θ 54.22, intensity 35, (2 2 0)
2θ 77.31, intensity 19, (2 1 5)

Record 3
Cu5Pd6: calculated powder diffraction line list (CuKα), based on a cell relaxed with GGA-PBE.

Crystal structure
Lattice parameters (Å, degrees): 4.2181 12.6033 6.0019 90.00 90.00 90.00
Space group Cmmm (No. 65)
Symmetry-distinct sites (fractional):
Cu1 0.0000 0.0000 0.0000 x2
Cu2 0.0000 0.3278 0.5000 x4
Cu3 0.0000 0.3310 0.0000 x4
Pd1 0.0000 0.1602 0.2558 x8
Pd2 0.0000 0.5000 0.2616 x4

Top 10 peaks for 15 to 90 degrees two-theta, sorted by position:
2θ 29.77, intensity 5, (0 0 2)
2θ 30.02, intensity 10, (1 3 0)
2θ 42.81, intensity 100, (2 0 0)
2θ 43.06, intensity 19, (0 6 0)
2θ 61.83, intensity 6, (0 0 4)
2θ 62.39, intensity 12, (2 6 0)
2θ 78.18, intensity 6, (2 0 4)
2θ 78.31, intensity 6, (0 6 4)
2θ 78.50, intensity 12, (3 3 2)
2θ 78.75, intensity 12, (1 9 2)